Record 1
Diffraction record for RbPuNbO6. The PXRD pattern is computed, not measured: it uses a crystal structure in Alexandria, relaxed with GGA-PBE and Cu Kα, 1.54184 Å.
Kinematic intensities with the Lorentz-polarization factor, no thermal factor.

Principal peaks in the range 5° ≤ 2θ ≤ 70°, low angle first:
d (Å)  I_rel  hkl
6.236  100  0 0 1
4.761  35  1 1 0
3.966  58  0 2 1
3.867  68  1 1 -1
3.706  61  1 1 1
3.118  28  0 0 2
2.888  50  1 3 0
2.648  26  1 3 -1
2.376  21  0 4 1
2.148  38  1 3 -2
2.090  32  2 0 -2
1.986  22  2 0 2

Structure:
```
data_RbPuNbO6
_chemical_formula_sum 'Rb2 Pu2 Nb2 O12'
_space_group_name_H-M_alt 'C 1 2 1'
_space_group_IT_number 5
_space_group_name_Hall 'C 2y'
_cell_length_a 5.3789
_cell_length_b 10.2774
_cell_length_c 6.2432
_cell_angle_alpha 90.00
_cell_angle_beta 92.84
_cell_angle_gamma 90.00
loop_
_atom_site_label
_atom_site_type_symbol
_atom_site_fract_x
_atom_site_fract_y
_atom_site_fract_z
Rb1 Rb 0.0000 0.0000 0.0000
Pu1 Pu 0.0000 0.6794 0.5000
Nb1 Nb 0.0000 0.3659 0.5000
O1 O 0.1270 0.4990 0.3295
O2 O 0.2051 0.8140 0.3186
O3 O 0.2091 0.1946 0.3196
```

Record 2
Diffraction record for Sr2Ga3Au3. The PXRD pattern is computed, not measured: it uses a crystal structure in Alexandria, relaxed with GGA-PBE and Cu Kα, 1.54184 Å.
Kinematic intensities with the Lorentz-polarization factor, no thermal factor.

Principal peaks in the range 5° ≤ 2θ ≤ 70°, low angle first:
d (Å)  I_rel  hkl
11.264  23  0 0 2
7.509  31  0 0 3
4.506  14  0 0 5
3.036  100  1 0 0
2.816  49  0 0 8
2.517  13  1 0 5
2.146  38  1 1 0
2.064  65  1 0 8
1.809  8  1 0 10
1.707  32  1 1 8
1.518  13  2 0 0
1.358  18  2 1 0

Structure:
```
data_Sr2Ga3Au3
_chemical_formula_sum 'Sr2 Ga3 Au3'
_space_group_name_H-M_alt 'P 4/m m m'
_space_group_IT_number 123
_space_group_name_Hall '-P 4 2'
_cell_length_a 3.0355
_cell_length_b 3.0355
_cell_length_c 22.5282
_cell_angle_alpha 90.00
_cell_angle_beta 90.00
_cell_angle_gamma 90.00
loop_
_atom_site_label
_atom_site_type_symbol
_atom_site_fract_x
_atom_site_fract_y
_atom_site_fract_z
Sr1 Sr 0.0000 0.0000 0.2485
Ga1 Ga 0.0000 0.0000 0.0000
Ga2 Ga 0.0000 0.0000 0.3874
Au1 Au 0.0000 0.0000 0.1161
Au2 Au 0.0000 0.0000 0.5000
```

Record 3
Diffraction record for La2SmP2I2. The PXRD pattern is computed, not measured: it uses a crystal structure in Alexandria, relaxed with GGA-PBE and Cu Kα, 1.54184 Å.
Kinematic intensities with the Lorentz-polarization factor, no thermal factor.

Principal peaks in the range 5° ≤ 2θ ≤ 70°, low angle first:
d (Å)  I_rel  hkl
8.353  10  0 0 2
3.793  89  1 1 0
2.836  100  1 0 5
2.682  52  2 0 0
1.949  67  2 1 5
1.896  19  2 2 0
1.696  18  3 1 0
1.671  6  0 0 10
1.576  17  3 0 5
1.529  12  1 1 10
1.418  13  2 0 10
1.359  21  3 2 5

Structure:
```
data_La2SmP2I2
_chemical_formula_sum 'La4 Sm2 P4 I4'
_space_group_name_H-M_alt 'I 4/m m m'
_space_group_IT_number 139
_space_group_name_Hall '-I 4 2'
_cell_length_a 5.3635
_cell_length_b 5.3635
_cell_length_c 16.7064
_cell_angle_alpha 90.00
_cell_angle_beta 90.00
_cell_angle_gamma 90.00
loop_
_atom_site_label
_atom_site_type_symbol
_atom_site_fract_x
_atom_site_fract_y
_atom_site_fract_z
La1 La 0.0000 0.0000 0.0980
Sm1 Sm 0.0000 0.0000 0.5000
P1 P 0.0000 0.5000 0.0000
I1 I 0.0000 0.0000 0.3074
```

Record 4
Diffraction record for Sc3MnNi8. The PXRD pattern is computed, not measured: it uses a crystal structure in Alexandria, relaxed with GGA-PBE and Cu Kα, 1.54184 Å.
Kinematic intensities with the Lorentz-polarization factor, no thermal factor.

Principal peaks in the range 5° ≤ 2θ ≤ 70°, low angle first:
d (Å)  I_rel  hkl
7.913  1  0 0 3
3.953  21  0 1 2
2.421  19  1 1 0
2.064  100  2 0 2
1.976  51  0 0 12
1.712  10  2 0 8
1.571  5  0 2 10
1.398  4  1 2 8
1.397  1  3 0 0

Structure:
```
data_Sc3MnNi8
_chemical_formula_sum 'Sc9 Mn3 Ni24'
_space_group_name_H-M_alt 'R 3 m'
_space_group_IT_number 160
_space_group_name_Hall 'R 3 -2"'
_cell_length_a 4.8388
_cell_length_b 4.8388
_cell_length_c 23.7404
_cell_angle_alpha 90.00
_cell_angle_beta 90.00
_cell_angle_gamma 120.00
loop_
_atom_site_label
_atom_site_type_symbol
_atom_site_fract_x
_atom_site_fract_y
_atom_site_fract_z
Sc1 Sc 0.0000 0.0000 0.0000
Sc2 Sc 0.0000 0.0000 0.1283
Sc3 Sc 0.0000 0.0000 0.6177
Mn1 Mn 0.0000 0.0000 0.4959
Ni1 Ni 0.0000 0.0000 0.3115
Ni2 Ni 0.0000 0.0000 0.8115
Ni3 Ni 0.0010 0.5005 0.0619
Ni4 Ni 0.0014 0.5007 0.5609
```